(1)
Simulated powder XRD pattern
Compound: Eu5Ta4O15
Radiation: Cu Kα (weighted mean of Kα1 and Kα2)
Structure: a PBE-relaxed structure
Kinematic intensities with the Lorentz-polarization factor, no thermal factor.

Largest 6 diffraction maxima, by intensity, 2θ from 5° to 70°:
| Position (°2θ) | Rel. int. |
| --- | --- |
| 29.44 | 100.0 |
| 31.38 | 85.6 |
| 43.56 | 49.0 |
| 54.66 | 36.8 |
| 50.96 | 24.0 |
| 55.85 | 17.4 |

Structure:
```
Eu5Ta4O15
1.0
5.702 0.000 0.000
-2.851 4.938 0.000
0.000 0.000 11.537
Eu Ta O
5 4 15
Cartesian
0.000 0.000 0.000
0.000 3.292 5.060
0.000 3.292 8.872
2.851 1.646 2.665
2.851 1.646 6.477
0.000 0.000 3.687
0.000 0.000 7.850
0.000 3.292 1.205
2.851 1.646 10.332
-1.426 2.469 0.000
0.000 1.627 2.277
-1.442 4.125 2.277
0.000 1.682 6.972
-1.394 4.097 6.972
1.409 0.813 9.260
1.457 0.841 4.565
2.851 0.000 0.000
1.426 2.469 0.000
1.394 4.097 6.972
1.442 4.125 2.277
4.245 0.841 4.565
2.851 3.256 4.565
4.293 0.813 9.260
2.851 3.312 9.260
```

(2)
Simulated powder XRD pattern
Compound: Cu3Sb4O12
Radiation: Cu Kα (weighted mean of Kα1 and Kα2)
Structure: a PBE-relaxed structure
Kinematic intensities with the Lorentz-polarization factor, no thermal factor.

Largest 6 diffraction maxima, by intensity, 2θ from 5° to 70°:
| Position (°2θ) | Rel. int. |
| --- | --- |
| 32.90 | 100.0 |
| 58.75 | 47.4 |
| 23.10 | 28.4 |
| 47.22 | 24.9 |
| 69.00 | 13.0 |
| 53.20 | 12.9 |

Structure:
```
Cu3Sb4O12
1.0
-3.850 3.850 3.850
3.850 -3.850 3.850
3.850 3.850 -3.850
Cu Sb O
3 4 12
Cartesian
3.850 0.000 0.000
0.000 3.850 0.000
0.000 0.000 3.850
1.925 1.925 -1.925
1.925 -1.925 1.925
-1.925 1.925 1.925
1.925 1.925 1.925
3.850 2.424 -1.431
2.419 0.000 1.426
5.280 0.000 1.426
1.426 2.419 0.000
2.424 -1.431 3.850
0.000 1.426 2.419
3.850 2.424 1.431
1.426 5.280 0.000
2.424 1.431 3.850
-1.431 3.850 2.424
1.431 3.850 2.424
0.000 1.426 5.280
```

(3)
Simulated powder XRD pattern
Compound: BaTl2O4
Radiation: Cu Kα (weighted mean of Kα1 and Kα2)
Structure: a PBE-relaxed structure
Kinematic intensities with the Lorentz-polarization factor, no thermal factor.

Largest 6 diffraction maxima, by intensity, 2θ from 5° to 70°:
| Position (°2θ) | Rel. int. |
| --- | --- |
| 29.31 | 100.0 |
| 29.04 | 65.4 |
| 28.78 | 54.2 |
| 29.56 | 49.9 |
| 44.15 | 35.0 |
| 50.96 | 26.5 |

Structure:
```
BaTl2O4
1.0
5.294 -3.133 0.000
5.294 3.133 0.000
-0.077 0.000 22.138
Ba Tl O
6 12 24
Cartesian
5.236 2.434 16.603
3.534 0.749 3.188
3.495 -0.749 14.257
7.015 0.749 7.880
6.976 -0.749 18.949
5.274 -2.434 5.534
5.215 2.321 20.611
5.257 2.321 12.596
3.507 0.770 6.760
3.547 0.793 9.878
3.469 -0.770 17.829
3.509 -0.793 20.947
7.001 0.793 1.191
7.042 0.770 4.309
6.963 -0.793 12.259
7.003 -0.770 15.378
5.253 -2.321 9.542
5.295 -2.321 1.527
3.362 1.895 13.819
1.511 0.334 11.117
2.183 0.650 16.730
4.747 2.095 8.237
1.550 -0.334 0.049
5.802 2.095 2.832
3.893 0.965 19.511
2.222 -0.650 5.661
7.110 1.895 19.387
5.274 0.189 5.534
6.579 0.965 13.695
5.294 0.000 0.000
5.255 0.000 11.069
3.932 -0.965 8.442
5.236 -0.189 16.603
3.400 -1.895 2.751
8.289 0.650 16.477
6.617 -0.965 2.627
4.708 -2.095 19.306
8.960 0.334 22.089
5.764 -2.095 13.901
8.327 -0.650 5.408
8.999 -0.334 11.020
7.149 -1.895 8.318
```